For Sr2CdCoS2O2, a DFT-relaxed cell (PBE+U, OQMD) gives the computed X-ray powder pattern in this record (a wavelength of 1.5418 Å).
Lines closer than 0.1° are merged.

Largest 6 diffraction maxima, low angle first, 2θ = 10–90°:
hkl 1 0 1, 2θ = 26.96°, I = 42
hkl 0 0 4, 2θ = 30.01°, I = 100
hkl 0 1 3, 2θ = 34.51°, I = 40
hkl 1 1 0, 2θ = 45.63°, I = 43
hkl 0 1 6, 2θ = 53.35°, I = 24
hkl 1 1 4, 2θ = 55.60°, I = 37

Crystal structure
a b c (Å): 3.9764 3.9764 11.8880
angles (deg): 90.00 90.00 120.00
Space group P3m1 (No. 156)
Asymmetric unit:
Sr1 0.0000 0.0000 0.0000
Sr2 0.3333 0.6667 0.5284
Cd1 0.6667 0.3333 0.2482
Co1 0.6667 0.3333 0.7489
S1 0.0000 0.0000 0.3450
S2 0.3333 0.6667 0.8132
O1 0.6667 0.3333 0.0680
O2 0.6667 0.3333 0.5924